[1]
Theoretical powder diffraction line list
Compound: AcIn2PdAu
Radiation: a wavelength of 1.5418 Å
Structure: a DFT-relaxed cell (PBE, Alexandria)

The 10 most intense peaks (2θ from 5° to 70°), most intense first:
- 2θ = 35.3°, intensity 100
- 2θ = 29.1°, intensity 81
- 2θ = 50.8°, intensity 48
- 2θ = 39.6°, intensity 37
- 2θ = 59.6°, intensity 27
- 2θ = 15.1°, intensity 25
- 2θ = 24.8°, intensity 24
- 2θ = 47.3°, intensity 21
- 2θ = 30.4°, intensity 18
- 2θ = 23.1°, intensity 18

Structure:
```
data_AcIn2PdAu
_cell_length_a 5.0811
_cell_length_b 5.0811
_cell_length_c 5.8796
_cell_angle_alpha 90.00
_cell_angle_beta 90.00
_cell_angle_gamma 90.00
_space_group_name_H-M_alt 'P 4 m m'
_space_group_IT_number 99
loop_
_space_group_symop_operation_xyz
'x,y,z'
'-y,x,z'
'-x,-y,z'
'y,-x,z'
'-x,y,z'
'y,x,z'
'x,-y,z'
'-y,-x,z'
loop_
_atom_site_label
_atom_site_fract_x
_atom_site_fract_y
_atom_site_fract_z
Ac1 0.0000 0.0000 0.0000
In1 0.0000 0.5000 0.4268
Pd1 0.0000 0.0000 0.5227
Au1 0.5000 0.5000 0.1298
```

***

[2]
Theoretical powder diffraction line list
Compound: PaFe5H11
Radiation: a wavelength of 1.5418 Å
Structure: a DFT-relaxed cell (PBE, Alexandria)

The 10 most intense peaks (2θ from 5° to 70°), most intense first:
- 2θ = 27.4°, intensity 100
- 2θ = 29.6°, intensity 50
- 2θ = 22.5°, intensity 45
- 2θ = 40.7°, intensity 42
- 2θ = 13.7°, intensity 41
- 2θ = 36.7°, intensity 40
- 2θ = 30.1°, intensity 39
- 2θ = 42.0°, intensity 34
- 2θ = 45.9°, intensity 32
- 2θ = 38.3°, intensity 31

Structure:
```
data_PaFe5H11
_cell_length_a 5.0116
_cell_length_b 7.5486
_cell_length_c 6.8711
_cell_angle_alpha 90.00
_cell_angle_beta 110.23
_cell_angle_gamma 90.00
_space_group_name_H-M_alt 'C 1 2/m 1'
_space_group_IT_number 12
loop_
_space_group_symop_operation_xyz
'x,y,z'
'-x,-y,-z'
'-x,y,-z'
'x,-y,z'
'x+1/2,y+1/2,z'
'-x+1/2,-y+1/2,-z'
'-x+1/2,y+1/2,-z'
'x+1/2,-y+1/2,z'
loop_
_atom_site_label
_atom_site_fract_x
_atom_site_fract_y
_atom_site_fract_z
Pa1 0.0000 0.0000 0.0000
Fe1 0.0000 0.5000 0.0000
Fe2 0.0713 0.3343 0.3481
H1 0.0000 0.5000 0.5000
H2 0.0877 0.3049 0.8993
H3 0.2363 0.1460 0.3604
H4 0.2457 0.5000 0.2620
```

***

[3]
Theoretical powder diffraction line list
Compound: Nb2GaPd9
Radiation: a wavelength of 1.5418 Å
Structure: a DFT-relaxed cell (PBE, Alexandria)

The 7 most intense peaks (2θ from 5° to 70°), most intense first:
- 2θ = 39.4°, intensity 100
- 2θ = 45.9°, intensity 32
- 2θ = 66.8°, intensity 20
- 2θ = 45.7°, intensity 16
- 2θ = 66.9°, intensity 10
- 2θ = 22.5°, intensity 1
- 2θ = 32.0°, intensity 1

Structure:
```
data_Nb2GaPd9
_cell_length_a 3.9555
_cell_length_b 3.9555
_cell_length_c 11.9023
_cell_angle_alpha 90.00
_cell_angle_beta 90.00
_cell_angle_gamma 90.00
_space_group_name_H-M_alt 'P 4/m m m'
_space_group_IT_number 123
_space_group_name_Hall '-P 4 2'
loop_
_atom_site_label
_atom_site_fract_x
_atom_site_fract_y
_atom_site_fract_z
Nb1 0.0000 0.0000 0.1721
Ga1 0.0000 0.0000 0.5000
Pd1 0.0000 0.5000 0.0000
Pd2 0.0000 0.5000 0.3319
Pd3 0.5000 0.5000 0.1656
Pd4 0.5000 0.5000 0.5000
```

***

[4]
Theoretical powder diffraction line list
Compound: AcHgTe
Radiation: a wavelength of 1.5418 Å
Structure: a DFT-relaxed cell (PBE, Alexandria)

The 10 most intense peaks (2θ from 5° to 70°), most intense first:
- 2θ = 30.7°, intensity 100
- 2θ = 33.6°, intensity 90
- 2θ = 46.1°, intensity 49
- 2θ = 33.6°, intensity 34
- 2θ = 10.1°, intensity 30
- 2θ = 58.3°, intensity 20
- 2θ = 19.5°, intensity 18
- 2θ = 23.5°, intensity 15
- 2θ = 54.2°, intensity 15
- 2θ = 60.0°, intensity 15

Structure:
```
data_AcHgTe
_cell_length_a 9.2502
_cell_length_b 5.3293
_cell_length_c 9.2805
_cell_angle_alpha 90.00
_cell_angle_beta 109.43
_cell_angle_gamma 90.00
_space_group_name_H-M_alt 'C 1 2/m 1'
_space_group_IT_number 12
loop_
_space_group_symop_operation_xyz
'x,y,z'
'-x,-y,-z'
'-x,y,-z'
'x,-y,z'
'x+1/2,y+1/2,z'
'-x+1/2,-y+1/2,-z'
'-x+1/2,y+1/2,-z'
'x+1/2,-y+1/2,z'
loop_
_atom_site_label
_atom_site_fract_x
_atom_site_fract_y
_atom_site_fract_z
Ac1 0.0797 0.0000 0.2396
Hg1 0.1629 0.5000 0.9889
Te1 0.2118 0.0000 0.6363
```

***

[5]
Theoretical powder diffraction line list
Compound: Sm2Ge3Au2
Radiation: a wavelength of 1.5418 Å
Structure: a DFT-relaxed cell (PBE, Alexandria)

The 10 most intense peaks (2θ from 5° to 70°), most intense first:
- 2θ = 32.6°, intensity 100
- 2θ = 33.5°, intensity 91
- 2θ = 9.3°, intensity 61
- 2θ = 40.5°, intensity 57
- 2θ = 42.6°, intensity 50
- 2θ = 35.3°, intensity 49
- 2θ = 31.0°, intensity 46
- 2θ = 60.3°, intensity 36
- 2θ = 38.0°, intensity 33
- 2θ = 40.2°, intensity 33

Structure:
```
data_Sm2Ge3Au2
_cell_length_a 4.4499
_cell_length_b 18.9561
_cell_length_c 7.1206
_cell_angle_alpha 90.00
_cell_angle_beta 90.00
_cell_angle_gamma 90.00
_space_group_name_H-M_alt 'C m c m'
_space_group_IT_number 63
_space_group_name_Hall '-C 2c 2'
loop_
_atom_site_label
_atom_site_fract_x
_atom_site_fract_y
_atom_site_fract_z
Sm1 0.0000 0.0508 0.2500
Sm2 0.0000 0.1536 0.7500
Ge1 0.0000 0.2213 0.2500
Ge2 0.0000 0.4402 0.0696
Au1 0.0000 0.3114 0.5494
```

***

[6]
Theoretical powder diffraction line list
Compound: Dy6GaAg2
Radiation: a wavelength of 1.5418 Å
Structure: a DFT-relaxed cell (PBE, Alexandria)

The 10 most intense peaks (2θ from 5° to 70°), most intense first:
- 2θ = 31.3°, intensity 100
- 2θ = 34.0°, intensity 78
- 2θ = 33.8°, intensity 75
- 2θ = 35.9°, intensity 59
- 2θ = 34.1°, intensity 52
- 2θ = 40.8°, intensity 23
- 2θ = 57.1°, intensity 22
- 2θ = 28.8°, intensity 20
- 2θ = 57.8°, intensity 19
- 2θ = 25.3°, intensity 18

Structure:
```
data_Dy6GaAg2
_cell_length_a 9.7881
_cell_length_b 9.9032
_cell_length_c 10.0045
_cell_angle_alpha 90.00
_cell_angle_beta 90.00
_cell_angle_gamma 90.00
_space_group_name_H-M_alt 'I m m m'
_space_group_IT_number 71
_space_group_name_Hall '-I 2 2'
loop_
_atom_site_label
_atom_site_fract_x
_atom_site_fract_y
_atom_site_fract_z
Dy1 0.0000 0.1723 0.2261
Dy2 0.1759 0.5000 0.2370
Dy3 0.1971 0.2511 0.5000
Ga1 0.0000 0.0000 0.5000
Ga2 0.0000 0.5000 0.5000
Ag1 0.0000 0.3633 0.0000
Ag2 0.1448 0.0000 0.0000
```

***

[7]
Theoretical powder diffraction line list
Compound: Mg5Si9
Radiation: a wavelength of 1.5418 Å
Structure: a DFT-relaxed cell (PBE, Alexandria)

The 10 most intense peaks (2θ from 5° to 70°), most intense first:
- 2θ = 37.0°, intensity 100
- 2θ = 37.3°, intensity 77
- 2θ = 40.3°, intensity 69
- 2θ = 38.5°, intensity 56
- 2θ = 38.8°, intensity 55
- 2θ = 35.8°, intensity 51
- 2θ = 36.1°, intensity 42
- 2θ = 41.0°, intensity 40
- 2θ = 39.0°, intensity 37
- 2θ = 29.1°, intensity 36

Structure:
```
data_Mg5Si9
_cell_length_a 7.3580
_cell_length_b 7.5849
_cell_length_c 10.0094
_cell_angle_alpha 93.90
_cell_angle_beta 100.61
_cell_angle_gamma 110.72
_space_group_name_H-M_alt 'P 1'
_space_group_IT_number 1
loop_
_space_group_symop_operation_xyz
'x,y,z'
loop_
_atom_site_label
_atom_site_fract_x
_atom_site_fract_y
_atom_site_fract_z
Mg1 0.0000 0.0000 0.0000
Mg2 0.0474 0.3019 0.2418
Mg3 0.1177 0.1434 0.7345
Mg4 0.1718 0.7015 0.1126
Mg5 0.3326 0.8725 0.6311
Mg6 0.4263 0.1298 0.2288
Mg7 0.6401 0.8507 0.1555
Mg8 0.7603 0.5087 0.1652
Mg9 0.8293 0.7976 0.4700
Mg10 0.9374 0.5656 0.7241
Si1 0.0329 0.9414 0.2688
Si2 0.0912 0.6516 0.3770
Si3 0.0924 0.4011 0.5201
Si4 0.2140 0.1427 0.4807
Si5 0.3087 0.3632 0.0346
Si6 0.3198 0.9349 0.9165
Si7 0.3432 0.6211 0.8934
Si8 0.4220 0.5255 0.6752
Si9 0.4437 0.8268 0.3722
Si10 0.4703 0.5284 0.2866
Si11 0.5217 0.3070 0.8519
Si12 0.5397 0.3821 0.4895
Si13 0.6706 0.1572 0.0323
Si14 0.6986 0.6568 0.9205
Si15 0.7225 0.1485 0.7398
Si16 0.7262 0.8249 0.7193
Si17 0.7507 0.1994 0.5082
Si18 0.9690 0.3508 0.9425
```

***

[8]
Theoretical powder diffraction line list
Compound: Sr8Tc3N8
Radiation: a wavelength of 1.5418 Å
Structure: a DFT-relaxed cell (PBE, Alexandria)

The 10 most intense peaks (2θ from 5° to 70°), most intense first:
- 2θ = 33.3°, intensity 100
- 2θ = 30.8°, intensity 85
- 2θ = 29.0°, intensity 72
- 2θ = 33.5°, intensity 42
- 2θ = 29.3°, intensity 41
- 2θ = 28.6°, intensity 36
- 2θ = 34.5°, intensity 23
- 2θ = 29.6°, intensity 20
- 2θ = 26.3°, intensity 18
- 2θ = 60.6°, intensity 18

Structure:
```
data_Sr8Tc3N8
_cell_length_a 19.2646
_cell_length_b 5.3794
_cell_length_c 7.6976
_cell_angle_alpha 90.00
_cell_angle_beta 106.21
_cell_angle_gamma 90.00
_space_group_name_H-M_alt 'C 1 2/m 1'
_space_group_IT_number 12
loop_
_space_group_symop_operation_xyz
'x,y,z'
'-x,-y,-z'
'-x,y,-z'
'x,-y,z'
'x+1/2,y+1/2,z'
'-x+1/2,-y+1/2,-z'
'-x+1/2,y+1/2,-z'
'x+1/2,-y+1/2,z'
loop_
_atom_site_label
_atom_site_fract_x
_atom_site_fract_y
_atom_site_fract_z
Sr1 0.0258 0.0000 0.2630
Sr2 0.0991 0.5000 0.9506
Sr3 0.1646 0.5000 0.4678
Sr4 0.1988 0.0000 0.7970
Tc1 0.0000 0.5000 0.5000
Tc2 0.1867 0.0000 0.2033
N1 0.0256 0.5000 0.2836
N2 0.1032 0.0000 0.0034
N3 0.1769 0.0000 0.4352
N4 0.2205 0.5000 0.8293
```

***

[9]
Theoretical powder diffraction line list
Compound: Ba2Sn3Sb6
Radiation: a wavelength of 1.5418 Å
Structure: a DFT-relaxed cell (PBE, Alexandria)

The 10 most intense peaks (2θ from 5° to 70°), most intense first:
- 2θ = 32.2°, intensity 100
- 2θ = 30.0°, intensity 98
- 2θ = 40.1°, intensity 83
- 2θ = 27.5°, intensity 82
- 2θ = 28.9°, intensity 60
- 2θ = 29.8°, intensity 56
- 2θ = 26.6°, intensity 51
- 2θ = 31.5°, intensity 46
- 2θ = 25.9°, intensity 46
- 2θ = 43.6°, intensity 44

Structure:
```
data_Ba2Sn3Sb6
_cell_length_a 13.5966
_cell_length_b 4.5005
_cell_length_c 24.9079
_cell_angle_alpha 90.00
_cell_angle_beta 90.00
_cell_angle_gamma 90.00
_space_group_name_H-M_alt 'P n m a'
_space_group_IT_number 62
loop_
_space_group_symop_operation_xyz
'x,y,z'
'-x,-y,-z'
'-x+1/2,-y,z+1/2'
'x+1/2,y,-z+1/2'
'x+1/2,-y+1/2,-z+1/2'
'-x+1/2,y+1/2,z+1/2'
'-x,y+1/2,-z'
'x,-y+1/2,z'
loop_
_atom_site_label
_atom_site_fract_x
_atom_site_fract_y
_atom_site_fract_z
Ba1 0.0478 0.2500 0.0787
Ba2 0.1286 0.2500 0.3914
Sn1 0.0401 0.2500 0.2501
Sn2 0.1811 0.7500 0.5989
Sn3 0.1967 0.2500 0.7347
Sb1 0.0661 0.2500 0.6447
Sb2 0.0704 0.7500 0.4974
Sb3 0.1145 0.7500 0.1845
Sb4 0.1527 0.7500 0.8039
Sb5 0.1616 0.2500 0.9222
Sb6 0.2001 0.7500 0.9978
```

***

[10]
Theoretical powder diffraction line list
Compound: NaAl6Pd3
Radiation: a wavelength of 1.5418 Å
Structure: a DFT-relaxed cell (PBE, Alexandria)

The 10 most intense peaks (2θ from 5° to 70°), most intense first:
- 2θ = 24.8°, intensity 100
- 2θ = 42.1°, intensity 77
- 2θ = 26.9°, intensity 67
- 2θ = 25.8°, intensity 45
- 2θ = 42.3°, intensity 44
- 2θ = 40.7°, intensity 41
- 2θ = 30.9°, intensity 34
- 2θ = 46.2°, intensity 29
- 2θ = 40.5°, intensity 23
- 2θ = 50.8°, intensity 23

Structure:
```
data_NaAl6Pd3
_cell_length_a 7.8750
_cell_length_b 4.2770
_cell_length_c 10.0726
_cell_angle_alpha 90.00
_cell_angle_beta 98.53
_cell_angle_gamma 90.00
_space_group_name_H-M_alt 'P 1 21/m 1'
_space_group_IT_number 11
loop_
_space_group_symop_operation_xyz
'x,y,z'
'-x,-y,-z'
'-x,y+1/2,-z'
'x,-y+1/2,z'
loop_
_atom_site_label
_atom_site_fract_x
_atom_site_fract_y
_atom_site_fract_z
Na1 0.0643 0.2500 0.2782
Al1 0.1169 0.2500 0.5900
Al2 0.1296 0.7500 0.0104
Al3 0.3005 0.7500 0.7588
Al4 0.3030 0.7500 0.2630
Al5 0.4176 0.2500 0.4273
Al6 0.4640 0.2500 0.9136
Pd1 0.1473 0.2500 0.8585
Pd2 0.2449 0.7500 0.4995
Pd3 0.3793 0.2500 0.1482
```

***

[11]
Theoretical powder diffraction line list
Compound: CuAg4Sn3S8
Radiation: a wavelength of 1.5418 Å
Structure: a DFT-relaxed cell (PBE, Alexandria)

The 10 most intense peaks (2θ from 5° to 70°), most intense first:
- 2θ = 33.2°, intensity 100
- 2θ = 32.7°, intensity 52
- 2θ = 28.8°, intensity 43
- 2θ = 47.0°, intensity 36
- 2θ = 47.5°, intensity 34
- 2θ = 27.9°, intensity 23
- 2θ = 28.4°, intensity 23
- 2θ = 46.8°, intensity 18
- 2θ = 59.6°, intensity 17
- 2θ = 48.4°, intensity 16

Structure:
```
data_CuAg4Sn3S8
_cell_length_a 13.3360
_cell_length_b 7.5208
_cell_length_c 7.7707
_cell_angle_alpha 90.00
_cell_angle_beta 124.75
_cell_angle_gamma 90.00
_space_group_name_H-M_alt 'C 1 2/m 1'
_space_group_IT_number 12
loop_
_space_group_symop_operation_xyz
'x,y,z'
'-x,-y,-z'
'-x,y,-z'
'x,-y,z'
'x+1/2,y+1/2,z'
'-x+1/2,-y+1/2,-z'
'-x+1/2,y+1/2,-z'
'x+1/2,-y+1/2,z'
loop_
_atom_site_label
_atom_site_fract_x
_atom_site_fract_y
_atom_site_fract_z
Cu1 0.0000 0.0000 0.0000
Ag1 0.0000 0.0000 0.5000
Ag2 0.0000 0.5000 0.5000
Ag3 0.2500 0.2500 0.5000
Sn1 0.0000 0.5000 0.0000
Sn2 0.2500 0.2500 0.0000
S1 0.0031 0.2234 0.7823
S2 0.2274 0.5000 0.7340
S3 0.2488 0.5000 0.2482
```